# 1
Computed powder diffraction line list
Compound: AlCd2Ga6
Radiation: copper Kα
Structure: a crystal structure in Alexandria, relaxed with PBE
Peak positions follow from Bragg's law for the DFT cell and can differ from measured ones.

Largest 10 diffraction maxima, by intensity, 2θ = 10–80°:
- 2.439 Å, 2θ = 36.9°, I 100.0
- 2.409 Å, 2θ = 37.3°, I 72.4
- 1.714 Å, 2θ = 53.5°, I 23.7
- 1.402 Å, 2θ = 66.7°, I 22.8
- 1.408 Å, 2θ = 66.4°, I 15.6
- 1.385 Å, 2θ = 67.6°, I 15.3
- 2.012 Å, 2θ = 45.1°, I 11.7
- 2.722 Å, 2θ = 32.9°, I 11.4
- 3.658 Å, 2θ = 24.3°, I 11.2
- 7.317 Å, 2θ = 12.1°, I 11.1

Structure:
abc: 8.449 8.449 2.933
angles: 90.00 90.00 120.00
Sites, in units of the cell vectors:
Al 0.000 0.000 0.000
Cd 0.333 0.667 0.500
Cd 0.667 0.333 0.500
Ga 0.000 0.318 0.737
Ga 0.000 0.682 0.263
Ga 0.318 0.000 0.737
Ga 0.318 0.318 0.263
Ga 0.682 0.000 0.263
Ga 0.682 0.682 0.737



# 2
Computed powder diffraction line list
Compound: Ga2PbBr2Cl6
Radiation: copper Kα
Structure: a crystal structure in Alexandria, relaxed with PBE
Peak positions follow from Bragg's law for the DFT cell and can differ from measured ones.

Largest 10 diffraction maxima, by intensity, 2θ = 10–80°:
- 5.141 Å, 2θ = 17.2°, I 100.0
- 4.064 Å, 2θ = 21.9°, I 32.5
- 3.188 Å, 2θ = 28.0°, I 28.7
- 3.319 Å, 2θ = 26.9°, I 27.9
- 1.890 Å, 2θ = 48.2°, I 25.6
- 2.135 Å, 2θ = 42.3°, I 25.5
- 2.788 Å, 2θ = 32.1°, I 25.1
- 2.570 Å, 2θ = 34.9°, I 23.0
- 1.916 Å, 2θ = 47.4°, I 17.5
- 2.874 Å, 2θ = 31.1°, I 16.6

Structure:
abc: 6.638 6.638 11.493
angles: 90.00 90.00 120.00
Sites, in units of the cell vectors:
Ga 0.333 0.667 0.275
Ga 0.667 0.333 0.725
Pb 0.000 0.000 0.500
Br 0.333 0.667 0.077
Br 0.667 0.333 0.923
Cl 0.011 0.646 0.350
Cl 0.354 0.365 0.350
Cl 0.365 0.011 0.650
Cl 0.635 0.989 0.350
Cl 0.646 0.635 0.650
Cl 0.989 0.354 0.650



# 3
Computed powder diffraction line list
Compound: LiGa3I4
Radiation: copper Kα
Structure: a crystal structure in Alexandria, relaxed with PBE
Peak positions follow from Bragg's law for the DFT cell and can differ from measured ones.

Largest 10 diffraction maxima, by intensity, 2θ = 10–80°:
- 3.267 Å, 2θ = 27.3°, I 100.0
- 2.296 Å, 2θ = 39.2°, I 69.6
- 3.227 Å, 2θ = 27.6°, I 44.9
- 3.757 Å, 2θ = 23.7°, I 39.3
- 1.458 Å, 2θ = 63.8°, I 24.9
- 2.314 Å, 2θ = 38.9°, I 19.2
- 2.306 Å, 2θ = 39.1°, I 19.0
- 1.880 Å, 2θ = 48.4°, I 18.9
- 1.876 Å, 2θ = 48.5°, I 18.7
- 1.633 Å, 2θ = 56.3°, I 12.8

Structure:
abc: 7.941 7.932 6.534
angles: 65.77 65.62 48.62
Sites, in units of the cell vectors:
Li 0.000 0.000 0.000
Ga 0.250 0.250 0.250
Ga 0.500 0.500 0.500
Ga 0.750 0.750 0.750
I 0.000 0.000 0.500
I 0.231 0.231 0.769
I 0.500 0.500 0.000
I 0.769 0.769 0.231